No. 1
Diffraction record for TbHo2Ga2Ag2. The XRD peak list is calculated, not measured: it uses a structure optimized by DFT (GGA-PBE) and Cu Kα (weighted mean of Kα1 and Kα2).

The 12 most intense peaks (5° ≤ 2θ ≤ 70°), sorted by position:
2theta	d_spacing	intensity
22.54	3.944	21.8
26.04	3.422	17.2
32.50	2.755	59.0
35.08	2.558	88.8
39.13	2.302	100.0
51.39	1.778	10.8
51.75	1.767	15.8
53.55	1.711	26.3
60.15	1.538	8.2
66.43	1.407	29.5
66.74	1.402	14.6
68.29	1.373	25.1

a = 4.6047 Å, b = 4.6047 Å, c = 26.6709 Å
α = 90.00°, β = 90.00°, γ = 120.00°
Space group R-3m (No. 166, hexagonal axes)
Inequivalent atoms, fractional coordinates:
Tb 0.0000 0.0000 0.0000 (multiplicity 3)
Ho 0.0000 0.0000 0.1260 (multiplicity 6)
Ga 0.0000 0.0000 0.2573 (multiplicity 6)
Ag 0.0000 0.0000 0.3996 (multiplicity 6)

---

No. 2
Diffraction record for HfZr2Ta2. The XRD peak list is calculated, not measured: it uses a structure optimized by DFT (GGA-PBE) and Cu Kα (weighted mean of Kα1 and Kα2).

The 12 most intense peaks (5° ≤ 2θ ≤ 70°), sorted by position:
2theta	d_spacing	intensity
23.81	3.737	26.3
26.12	3.412	9.7
33.21	2.697	10.2
33.57	2.669	26.1
35.63	2.520	100.0
37.27	2.413	57.5
42.73	2.116	12.0
44.71	2.027	25.3
48.73	1.869	17.1
49.50	1.841	13.5
62.91	1.477	25.0
67.42	1.389	15.2

a = 7.6292 Å, b = 7.6292 Å, c = 3.7370 Å
α = 90.00°, β = 90.00°, γ = 90.00°
Space group P4/mbm (No. 127)
Inequivalent atoms, fractional coordinates:
Hf 0.0000 0.0000 0.0000 (multiplicity 2)
Zr 0.1698 0.3302 0.5000 (multiplicity 4)
Ta 0.1278 0.6278 0.0000 (multiplicity 4)

---

No. 3
Diffraction record for Dy3BeIr3. The XRD peak list is calculated, not measured: it uses a structure optimized by DFT (GGA-PBE) and Cu Kα (weighted mean of Kα1 and Kα2).

The 12 most intense peaks (5° ≤ 2θ ≤ 70°), sorted by position:
2theta	d_spacing	intensity
29.07	3.071	34.2
33.64	2.664	26.7
33.86	2.647	100.0
34.13	2.627	64.4
34.44	2.604	39.6
38.44	2.342	20.9
40.68	2.218	28.2
41.45	2.178	24.4
41.66	2.168	50.1
42.22	2.140	18.9
44.71	2.027	43.1
67.04	1.396	23.9

a = 10.4170 Å, b = 4.0539 Å, c = 13.9857 Å
α = 90.00°, β = 110.84°, γ = 90.00°
Space group C2/m (No. 12)
Inequivalent atoms, fractional coordinates:
Dy 0.0267 0.0000 0.3853 (multiplicity 4)
Dy 0.1087 0.0000 0.9226 (multiplicity 4)
Dy 0.2478 0.0000 0.2323 (multiplicity 4)
Be 0.2357 0.5000 0.3994 (multiplicity 4)
Ir 0.0400 0.5000 0.2433 (multiplicity 4)
Ir 0.1187 0.5000 0.0813 (multiplicity 4)
Ir 0.1615 0.5000 0.5407 (multiplicity 4)

---

No. 4
Diffraction record for CePm5Dy4. The XRD peak list is calculated, not measured: it uses a structure optimized by DFT (GGA-PBE) and Cu Kα (weighted mean of Kα1 and Kα2).

The 12 most intense peaks (5° ≤ 2θ ≤ 70°), sorted by position:
2theta	d_spacing	intensity
29.83	2.995	49.3
30.23	2.956	76.0
30.46	2.934	100.0
30.96	2.888	92.5
32.58	2.748	77.4
35.50	2.529	31.2
35.83	2.506	26.1
36.64	2.453	46.5
52.17	1.753	24.2
61.62	1.505	27.0
61.91	1.499	26.0
62.87	1.478	23.7

a = 17.9288 Å, b = 3.5067 Å, c = 10.9955 Å
α = 90.00°, β = 106.85°, γ = 90.00°
Space group C2/m (No. 12)
Inequivalent atoms, fractional coordinates:
Ce 0.0000 0.0000 0.0000 (multiplicity 2)
Pm 0.0000 0.0000 0.5000 (multiplicity 2)
Pm 0.1044 0.5000 0.2834 (multiplicity 4)
Pm 0.2059 0.5000 0.6010 (multiplicity 4)
Dy 0.0936 0.5000 0.8117 (multiplicity 4)
Dy 0.1954 0.0000 0.0810 (multiplicity 4)